# Ba3InRh
Simulated powder diffractogram, Cu Kα, 1.54184 Å. Input: a structure optimized by DFT (GGA-PBE).

Structural model:
a = 7.5787 Å, b = 7.5787 Å, c = 9.8629 Å
α = 108.08°, β = 108.08°, γ = 48.81°
Fractional coordinates of all 10 atoms:
Ba: 0.0980 0.0980 0.2253
Ba: 0.1701 0.1701 0.6531
Ba: 0.3745 0.3745 0.0959
Ba: 0.6255 0.6255 0.9041
Ba: 0.8299 0.8299 0.3469
Ba: 0.9020 0.9020 0.7747
In: 0.4094 0.4094 0.5461
In: 0.5906 0.5906 0.4539
Rh: 0.1364 0.1364 0.9409
Rh: 0.8636 0.8636 0.0591

Peak list (12 most intense, 2θ = 10–80°, low angle first)
2theta	Rel. int.
24.14	23
26.64	84
26.97	22
27.46	100
28.50	90
32.19	19
32.61	39
39.99	73
42.04	22
49.38	24
51.58	24
54.87	27